# KCo2AsP
Simulated X-ray powder pattern, Cu Kα (weighted mean of Kα1 and Kα2). Input: a crystal structure in OQMD, relaxed with GGA-PBE.
Intensities are scaled so that the largest is 100.

Atomic structure:
```
KCo2AsP
1.0
-1.8642 1.8642 6.7315
1.8642 -1.8642 6.7315
1.8642 1.8642 -6.7315
K Co As P
1 2 1 1
Cartesian
0.0000 0.0000 0.0000 K
1.8642 0.0000 3.5246 Co
0.0000 1.8642 3.5246 Co
0.0000 0.0000 8.8637 As
0.0000 0.0000 4.6614 P
```

The 12 most intense peaks (10 to 90 degrees two-theta), low angle first:
13.15°, I 100; 24.78°, I 10; 26.48°, I 9; 31.19°, I 68; 36.61°, I 37; 43.61°, I 35; 48.85°, I 31; 50.82°, I 12; 53.64°, I 43; 59.11°, I 20; 71.58°, I 9; 87.68°, I 14


# MgCo6AsP3
Simulated X-ray powder pattern, Cu Kα (weighted mean of Kα1 and Kα2). Input: a crystal structure in OQMD, relaxed with GGA-PBE.
Intensities are scaled so that the largest is 100.

Atomic structure:
```
MgCo6AsP3
1.0
3.3739 0.0000 0.0000
0.0000 3.3269 5.7011
0.0000 -3.3269 5.7011
Mg Co As P
1 6 1 3
Cartesian
0.0000 0.0000 0.0000 Mg
0.0000 -1.3867 8.1955 Co
0.0000 0.0000 6.0205 Co
0.0000 1.3867 8.1955 Co
1.6869 0.0000 2.1589 Co
1.6869 -1.2815 4.4949 Co
1.6869 1.2815 4.4949 Co
1.6869 0.0000 9.1963 As
0.0000 0.0000 3.7069 P
1.6869 -1.4604 6.6714 P
1.6869 1.4604 6.6714 P
```

The 12 most intense peaks (10 to 90 degrees two-theta), low angle first:
15.54°, I 26; 30.77°, I 24; 38.15°, I 21; 41.27°, I 100; 41.47°, I 45; 47.46°, I 22; 49.85°, I 35; 50.07°, I 19; 50.20°, I 34; 54.39°, I 31; 55.19°, I 21; 55.70°, I 23


# MgCo6AsP3
Simulated X-ray powder pattern, Cu Kα (weighted mean of Kα1 and Kα2). Input: a crystal structure in OQMD, relaxed with GGA-PBE.
Intensities are scaled so that the largest is 100.

Atomic structure:
```
MgCo6AsP3
1.0
6.6485 0.0000 0.0000
-3.3243 5.7578 0.0000
0.0000 0.0000 3.3584
Mg Co As P
1 6 1 3
Cartesian
0.0000 0.0000 0.0000 Mg
0.0000 2.2124 1.6792 Co
-1.4083 4.6516 1.6792 Co
3.3242 0.4505 0.0000 Co
2.0523 2.6536 0.0000 Co
1.4083 4.6516 1.6792 Co
4.5962 2.6536 0.0000 Co
0.0000 3.8385 0.0000 As
1.8681 1.0785 1.6792 P
4.7804 1.0785 1.6792 P
3.3242 3.6007 1.6792 P
```

The 12 most intense peaks (10 to 90 degrees two-theta), low angle first:
15.39°, I 60; 30.82°, I 19; 38.09°, I 33; 41.31°, I 100; 41.49°, I 37; 47.37°, I 20; 49.94°, I 81; 54.66°, I 26; 55.12°, I 11; 55.27°, I 35; 70.88°, I 14; 81.48°, I 22


# MgCo6As3P
Simulated X-ray powder pattern, Cu Kα (weighted mean of Kα1 and Kα2). Input: a crystal structure in OQMD, relaxed with GGA-PBE.
Intensities are scaled so that the largest is 100.

Atomic structure:
```
MgCo6As3P
1.0
3.4424 0.0000 0.0000
0.0000 3.3899 5.8916
0.0000 -3.3899 5.8916
Mg Co As P
1 6 3 1
Cartesian
0.0000 0.0000 0.0000 Mg
0.0000 0.0000 6.3972 Co
0.0000 -1.2660 8.7928 Co
0.0000 1.2660 8.7928 Co
1.7212 -1.4393 4.7876 Co
1.7212 0.0000 2.4696 Co
1.7212 1.4393 4.7876 Co
0.0000 0.0000 4.0364 As
1.7212 -1.5086 7.0864 As
1.7212 1.5086 7.0864 As
1.7212 0.0000 9.6638 P
```

The 12 most intense peaks (10 to 90 degrees two-theta), low angle first:
15.07°, I 48; 30.07°, I 19; 37.21°, I 41; 40.33°, I 100; 40.55°, I 22; 40.65°, I 16; 48.74°, I 76; 48.82°, I 28; 53.22°, I 33; 53.96°, I 30; 79.21°, I 18; 87.75°, I 16


# Mg2CoSiAs4
Simulated X-ray powder pattern, Cu Kα (weighted mean of Kα1 and Kα2). Input: a crystal structure in OQMD, relaxed with GGA-PBE.
Intensities are scaled so that the largest is 100.

Atomic structure:
```
Mg2CoSiAs4
1.0
-2.8971 2.8971 5.5578
2.8971 -2.8971 5.5578
2.8971 2.8971 -5.5578
Mg Co Si As
2 1 1 4
Cartesian
0.0000 0.0000 0.0000 Mg
0.0000 2.8971 2.7789 Mg
2.8971 0.0000 2.7789 Co
0.0000 0.0000 5.5578 Si
1.3796 1.7395 -1.4239 As
4.0546 1.3796 1.4239 As
1.5175 1.1576 4.1339 As
-1.1576 1.5175 6.9817 As
```

The 12 most intense peaks (10 to 90 degrees two-theta), low angle first:
17.26°, I 20; 27.04°, I 100; 30.87°, I 6; 35.58°, I 8; 42.58°, I 8; 44.21°, I 18; 45.21°, I 40; 52.59°, I 21; 54.35°, I 18; 57.99°, I 7; 72.57°, I 10; 82.07°, I 7


# MgTaCoAs
Simulated X-ray powder pattern, Cu Kα (weighted mean of Kα1 and Kα2). Input: a crystal structure in OQMD, relaxed with GGA-PBE.
Intensities are scaled so that the largest is 100.

Atomic structure:
```
MgTaCoAs
1.0
0.0000 3.1277 3.1277
3.1277 0.0000 3.1277
3.1277 3.1277 0.0000
Mg Ta Co As
1 1 1 1
Cartesian
0.0000 0.0000 0.0000 Mg
1.5639 1.5639 1.5639 Ta
4.6916 4.6916 4.6916 Co
3.1277 3.1277 3.1277 As
```

The 11 most intense peaks (10 to 90 degrees two-theta), low angle first:
24.65°, I 34; 28.54°, I 21; 40.80°, I 100; 48.25°, I 18; 50.54°, I 6; 59.07°, I 17; 64.99°, I 8; 66.89°, I 7; 74.28°, I 33; 79.64°, I 6; 88.40°, I 11


Q: Which formula does entry 4 have?
A: MgCo6As3P